No. 1
Diffraction record for Ac2PbS. The X-ray powder pattern is theoretical, not measured: it uses a structure optimized by DFT (GGA-PBE) and Cu Kα (λ = 1.5418 Å).
Neutral-atom scattering factors, no anomalous dispersion.

Structural model:
```
data_Ac2PbS
_chemical_formula_sum 'Ac8 Pb4 S4'
_symmetry_space_group_name_H-M 'P m n a'
_symmetry_Int_Tables_number 53
_symmetry_space_group_name_Hall '-P 2ac 2'
_cell_length_a 6.566
_cell_length_b 6.567
_cell_length_c 12.989
_cell_angle_alpha 90.00
_cell_angle_beta 90.00
_cell_angle_gamma 90.00
loop_
_atom_site_label
_atom_site_type_symbol
_atom_site_fract_x
_atom_site_fract_y
_atom_site_fract_z
Ac1 Ac 0.000 0.249 0.135
Ac2 Ac 0.000 0.250 0.615
Pb1 Pb 0.000 0.251 0.875
S1 S 0.000 0.249 0.375
```

Most intense lines, 2θ from 10° to 80°, in order of rising 2θ:
(1 1 2), d = 3.777 Å, 23.55°, intensity 23.8; (2 0 0), d = 3.283 Å, 27.16°, intensity 100.0; (0 0 4), d = 3.247 Å, 27.47°, intensity 46.6; (2 2 0), d = 2.321 Å, 38.79°, intensity 39.5; (2 0 4), d = 2.309 Å, 39.01°, intensity 74.5; (2 2 4), d = 1.889 Å, 48.19°, intensity 41.1; (4 2 0), d = 1.468 Å, 63.34°, intensity 19.2; (4 2 4), d = 1.338 Å, 70.37°, intensity 27.2

No. 2
Diffraction record for MgBeHS. The X-ray powder pattern is theoretical, not measured: it uses a structure optimized by DFT (GGA-PBE) and Cu Kα (λ = 1.5418 Å).
Neutral-atom scattering factors, no anomalous dispersion.

Structural model:
```
data_MgBeHS
_chemical_formula_sum 'Mg1 Be1 H1 S1'
_symmetry_space_group_name_H-M 'P 1'
_symmetry_Int_Tables_number 1
_symmetry_space_group_name_Hall 'P 1'
_cell_length_a 3.427
_cell_length_b 3.531
_cell_length_c 4.488
_cell_angle_alpha 92.87
_cell_angle_beta 90.02
_cell_angle_gamma 90.30
loop_
_atom_site_label
_atom_site_type_symbol
_atom_site_fract_x
_atom_site_fract_y
_atom_site_fract_z
Mg1 Mg 0.000 0.000 0.000
Be1 Be 0.505 0.493 0.334
H1 H 0.506 0.419 0.026
S1 S 0.005 0.479 0.568
```

Most intense lines, 2θ from 10° to 80°, in order of rising 2θ:
(1 0 0), d = 3.427 Å, 26.00°, intensity 100.0; (0 1 -1), d = 2.841 Å, 31.48°, intensity 74.9; (0 1 1), d = 2.706 Å, 33.10°, intensity 69.0; (1 -1 1), d = 2.191 Å, 41.19°, intensity 32.4; (1 1 -1), d = 2.183 Å, 41.36°, intensity 32.8; (-1 1 1), d = 2.128 Å, 42.47°, intensity 31.2; (1 1 1), d = 2.119 Å, 42.66°, intensity 30.3; (1 0 -2), d = 1.876 Å, 48.54°, intensity 40.7

No. 3
Diffraction record for V2NiPt2. The X-ray powder pattern is theoretical, not measured: it uses a structure optimized by DFT (GGA-PBE) and Cu Kα (λ = 1.5418 Å).
Neutral-atom scattering factors, no anomalous dispersion.

Structural model:
```
data_V2NiPt2
_chemical_formula_sum 'V8 Ni4 Pt8'
_symmetry_space_group_name_H-M 'C m c 21'
_symmetry_Int_Tables_number 36
_symmetry_space_group_name_Hall 'C 2c -2'
_cell_length_a 4.421
_cell_length_b 13.895
_cell_length_c 4.612
_cell_angle_alpha 90.00
_cell_angle_beta 90.00
_cell_angle_gamma 90.00
loop_
_atom_site_label
_atom_site_type_symbol
_atom_site_fract_x
_atom_site_fract_y
_atom_site_fract_z
V1 V 0.000 0.138 0.000
V2 V 0.000 0.359 0.068
Ni1 Ni 0.000 0.454 0.604
Pt1 Pt 0.000 0.055 0.485
Pt2 Pt 0.000 0.266 0.577
```

Most intense lines, 2θ from 10° to 80°, in order of rising 2θ:
(1 1 1), d = 3.110 Å, 28.70°, intensity 44.2; (0 4 1), d = 2.775 Å, 32.26°, intensity 19.4; (0 0 2), d = 2.306 Å, 39.06°, intensity 28.2; (2 0 0), d = 2.210 Å, 40.82°, intensity 36.3; (1 5 1), d = 2.096 Å, 43.16°, intensity 100.0; (1 1 2), d = 2.023 Å, 44.81°, intensity 16.4; (2 0 2), d = 1.596 Å, 57.78°, intensity 17.7; (3 5 1), d = 1.253 Å, 75.95°, intensity 18.4

No. 4
Diffraction record for Pu4NO3. The X-ray powder pattern is theoretical, not measured: it uses a structure optimized by DFT (GGA-PBE) and Cu Kα (λ = 1.5418 Å).
Neutral-atom scattering factors, no anomalous dispersion.

Structural model:
```
data_Pu4NO3
_chemical_formula_sum 'Pu4 N1 O3'
_symmetry_space_group_name_H-M 'P m -3 m'
_symmetry_Int_Tables_number 221
_symmetry_space_group_name_Hall '-P 4 2 3'
_cell_length_a 4.954
_cell_length_b 4.954
_cell_length_c 4.954
_cell_angle_alpha 90.00
_cell_angle_beta 90.00
_cell_angle_gamma 90.00
loop_
_atom_site_label
_atom_site_type_symbol
_atom_site_fract_x
_atom_site_fract_y
_atom_site_fract_z
Pu1 Pu 0.000 0.000 0.000
Pu2 Pu 0.000 0.500 0.500
N1 N 0.500 0.500 0.500
O1 O 0.000 0.000 0.500
```

Most intense lines, 2θ from 10° to 80°, in order of rising 2θ:
(1 1 1), d = 2.860 Å, 31.27°, intensity 100.0; (2 0 0), d = 2.477 Å, 36.27°, intensity 67.3; (2 2 0), d = 1.751 Å, 52.23°, intensity 47.9; (3 1 1), d = 1.494 Å, 62.15°, intensity 46.3; (2 2 2), d = 1.430 Å, 65.24°, intensity 16.4; (4 0 0), d = 1.238 Å, 76.99°, intensity 7.7

No. 5
Diffraction record for LuHO2. The X-ray powder pattern is theoretical, not measured: it uses a structure optimized by DFT (GGA-PBE) and Cu Kα (λ = 1.5418 Å).
Neutral-atom scattering factors, no anomalous dispersion.

Structural model:
```
data_LuHO2
_chemical_formula_sum 'Lu2 H2 O4'
_symmetry_space_group_name_H-M 'P 1 21 1'
_symmetry_Int_Tables_number 4
_symmetry_space_group_name_Hall 'P 2yb'
_cell_length_a 4.247
_cell_length_b 3.550
_cell_length_c 5.837
_cell_angle_alpha 90.00
_cell_angle_beta 109.31
_cell_angle_gamma 90.00
loop_
_atom_site_label
_atom_site_type_symbol
_atom_site_fract_x
_atom_site_fract_y
_atom_site_fract_z
Lu1 Lu 0.168 0.000 0.313
H1 H 0.482 0.530 0.077
O1 O 0.248 0.496 0.061
O2 O 0.267 0.498 0.552
```

Most intense lines, 2θ from 10° to 80°, in order of rising 2θ:
(0 0 1), d = 5.509 Å, 16.09°, intensity 37.0; (1 0 -1), d = 3.915 Å, 22.71°, intensity 46.0; (0 1 1), d = 2.984 Å, 29.94°, intensity 100.0; (1 0 1), d = 2.826 Å, 31.66°, intensity 51.3; (1 0 -2), d = 2.730 Å, 32.80°, intensity 33.9; (1 1 0), d = 2.658 Å, 33.73°, intensity 39.7; (1 1 -1), d = 2.630 Å, 34.09°, intensity 53.1; (0 1 2), d = 2.176 Å, 41.50°, intensity 34.5

No. 6
Diffraction record for Er4CuPb2. The X-ray powder pattern is theoretical, not measured: it uses a structure optimized by DFT (GGA-PBE) and Cu Kα (λ = 1.5418 Å).
Neutral-atom scattering factors, no anomalous dispersion.

Structural model:
```
data_Er4CuPb2
_chemical_formula_sum 'Er8 Cu2 Pb4'
_symmetry_space_group_name_H-M 'P 1 21/m 1'
_symmetry_Int_Tables_number 11
_symmetry_space_group_name_Hall '-P 2yb'
_cell_length_a 6.695
_cell_length_b 6.635
_cell_length_c 8.722
_cell_angle_alpha 90.00
_cell_angle_beta 101.11
_cell_angle_gamma 90.00
loop_
_atom_site_label
_atom_site_type_symbol
_atom_site_fract_x
_atom_site_fract_y
_atom_site_fract_z
Er1 Er 0.158 0.007 0.287
Er2 Er 0.316 0.250 0.943
Er3 Er 0.333 0.750 0.667
Cu1 Cu 0.040 0.250 0.543
Pb1 Pb 0.173 0.750 0.974
Pb2 Pb 0.434 0.250 0.614
```

Most intense lines, 2θ from 10° to 80°, in order of rising 2θ:
(0 2 0), d = 3.318 Å, 26.87°, intensity 36.7; (2 0 1), d = 2.886 Å, 30.98°, intensity 89.5; (0 0 3), d = 2.853 Å, 31.36°, intensity 53.4; (1 0 -3), d = 2.823 Å, 31.70°, intensity 34.0; (1 2 1), d = 2.726 Å, 32.85°, intensity 100.0; (2 1 -2), d = 2.648 Å, 33.86°, intensity 98.4; (0 2 2), d = 2.622 Å, 34.20°, intensity 79.2; (1 2 -2), d = 2.541 Å, 35.33°, intensity 33.1

No. 7
Diffraction record for Pr2BeCu3Ni12. The X-ray powder pattern is theoretical, not measured: it uses a structure optimized by DFT (GGA-PBE) and Cu Kα (λ = 1.5418 Å).
Neutral-atom scattering factors, no anomalous dispersion.

Structural model:
```
data_Pr2BeCu3Ni12
_chemical_formula_sum 'Pr6 Be3 Cu9 Ni36'
_symmetry_space_group_name_H-M 'R -3 m'
_symmetry_Int_Tables_number 166
_symmetry_space_group_name_Hall '-R 3 2"'
_cell_length_a 6.0556
_cell_length_b 6.0556
_cell_length_c 24.4023
_cell_angle_alpha 90.00
_cell_angle_beta 90.00
_cell_angle_gamma 120.00
loop_
_atom_site_label
_atom_site_type_symbol
_atom_site_fract_x
_atom_site_fract_y
_atom_site_fract_z
Pr1 Pr 0.0000 0.0000 0.1586
Be1 Be 0.0000 0.0000 0.5000
Cu1 Cu 0.0000 0.5000 0.0000
Ni1 Ni 0.0673 0.5336 0.0983
Ni2 Ni 0.0733 0.5367 0.6136
```

Most intense lines, 2θ from 10° to 80°, in order of rising 2θ:
(1 1 3), d = 2.838 Å, 31.53°, intensity 100.0; (0 1 8), d = 2.637 Å, 34.00°, intensity 50.3; (0 2 1), d = 2.607 Å, 34.40°, intensity 42.9; (1 1 6), d = 2.429 Å, 37.01°, intensity 43.2; (0 2 4), d = 2.409 Å, 37.33°, intensity 66.1; (1 0 10), d = 2.212 Å, 40.78°, intensity 65.8; (1 2 2), d = 1.957 Å, 46.41°, intensity 84.8; (3 0 6), d = 1.606 Å, 57.37°, intensity 44.1